The following is a calculated X-ray diffraction stick pattern of LaErNi2H8. It was derived from a crystal structure in Alexandria, relaxed with PBE, using Cu Kα X-rays.
Intensities are scaled so that the largest is 100.

Crystal structure
abc: 4.4440 4.4440 19.7416
angles: 90.00 90.00 120.00
Space group R-3m (No. 166, hexagonal axes)
Symmetry-distinct sites (fractional):
La (0.0000, 0.0000, 0.0000) x3
Er (0.0000, 0.0000, 0.5000) x3
Ni (0.0000, 0.0000, 0.2507) x6
H (0.0000, 0.0000, 0.3319) x6
H (0.0404, 0.5202, 0.5541) x18

Top 8 peaks for 2θ = 10–90°, by intensity:
2θ (°), d/Å, I_rel
29.43, 3.035, 100
40.60, 2.222, 42
43.57, 2.077, 35
24.83, 3.586, 23
50.94, 1.793, 22
67.08, 1.395, 19
71.33, 1.322, 16
75.93, 1.253, 13